This entry pairs a crystal structure of Na3NbAlSi2PO12 with its computed XRD peak list. Radiation: Cu Kα (λ = 1.5418 Å). Structure: the PBE geometry in the Materials Project.
Kinematic intensities with the Lorentz-polarization factor, no thermal factor.

The 8 most intense peaks (10 to 90 degrees two-theta), sorted by position:
| d [Å] | I_rel |
| --- | --- |
| 6.362 | 100 |
| 4.522 | 67 |
| 4.477 | 89 |
| 4.449 | 71 |
| 3.828 | 68 |
| 2.857 | 65 |
| 2.844 | 73 |
| 2.817 | 63 |

Unit cell a=15.384 b=8.952 c=9.045 alpha=90.00 beta=125.49 gamma=90.00
Space group Cc (No. 9)
Inequivalent atoms, fractional coordinates:
Na: 0.000 0.059 0.000 x4
Na: 0.066 0.247 0.739 x4
Na: 0.136 0.426 0.503 x4
Nb: 0.216 0.246 0.192 x4
Al: 0.419 0.260 0.815 x4
Si: 0.176 0.111 0.510 x4
Si: 0.325 0.458 0.010 x4
P: 0.465 0.097 0.517 x4
O: 0.058 0.322 0.019 x4
O: 0.071 0.189 0.484 x4
O: 0.165 0.073 0.019 x4
O: 0.172 0.135 0.323 x4
O: 0.237 0.360 0.021 x4
O: 0.245 0.433 0.329 x4
O: 0.283 0.189 0.677 x4
O: 0.365 0.177 0.346 x4
O: 0.400 0.436 0.686 x4
O: 0.403 0.356 0.985 x4
O: 0.469 0.132 0.686 x4
O: 0.471 0.070 0.987 x4